# Sm2UTe4
Simulated powder diffraction line list, copper Kα. Input: a structure optimized by DFT (PBE).

Crystal structure
```
data_Sm2UTe4
_chemical_formula_sum 'Sm4 U2 Te8'
_cell_length_a 7.6032
_cell_length_b 7.6032
_cell_length_c 15.0623
_cell_angle_alpha 90.00
_cell_angle_beta 90.00
_cell_angle_gamma 147.00
_symmetry_space_group_name_H-M 'P 1'
_symmetry_Int_Tables_number 1
_symmetry_space_group_name_Hall 'P 1'
loop_
_atom_site_label
_atom_site_type_symbol
_atom_site_fract_x
_atom_site_fract_y
_atom_site_fract_z
Sm1 Sm 0.1344 0.8656 0.5670
Sm2 Sm 0.1344 0.8656 0.9330
Sm3 Sm 0.8656 0.1344 0.0670
Sm4 Sm 0.8656 0.1344 0.4330
U1 U 0.3786 0.6214 0.7500
U2 U 0.6214 0.3786 0.2500
Te1 Te 0.0359 0.9641 0.7500
Te2 Te 0.2223 0.7777 0.1265
Te3 Te 0.2223 0.7777 0.3735
Te4 Te 0.5000 0.5000 0.0000
Te5 Te 0.5000 0.5000 0.5000
Te6 Te 0.7777 0.2223 0.6265
Te7 Te 0.7777 0.2223 0.8735
Te8 Te 0.9641 0.0359 0.2500
```

Peak list (10 most intense, 10° ≤ 2θ ≤ 90°, in order of falling intensity)
2theta, I_rel
30.12, 100
28.27, 93
21.49, 66
36.90, 65
26.64, 57
41.27, 44
41.83, 38
39.15, 36
60.22, 29
50.29, 20

# Al2TlCuCl8
Simulated powder diffraction line list, copper Kα. Input: a structure optimized by DFT (PBE).

Crystal structure
```
data_Al2TlCuCl8
_chemical_formula_sum 'Al2 Tl1 Cu1 Cl8'
_cell_length_a 7.0146
_cell_length_b 7.0146
_cell_length_c 8.6946
_cell_angle_alpha 90.00
_cell_angle_beta 90.00
_cell_angle_gamma 120.00
_symmetry_space_group_name_H-M 'P 1'
_symmetry_Int_Tables_number 1
_symmetry_space_group_name_Hall 'P 1'
loop_
_atom_site_label
_atom_site_type_symbol
_atom_site_fract_x
_atom_site_fract_y
_atom_site_fract_z
Al1 Al 0.3333 0.6667 0.2341
Al2 Al 0.6667 0.3333 0.7659
Tl1 Tl 0.0000 0.0000 0.0000
Cu1 Cu 0.0000 0.0000 0.5000
Cl1 Cl 0.1642 0.3285 0.3154
Cl2 Cl 0.1642 0.8358 0.3154
Cl3 Cl 0.3285 0.1642 0.6846
Cl4 Cl 0.3333 0.6667 0.9881
Cl5 Cl 0.6667 0.3333 0.0119
Cl6 Cl 0.6715 0.8358 0.3154
Cl7 Cl 0.8358 0.1642 0.6846
Cl8 Cl 0.8358 0.6715 0.6846
```

Peak list (10 most intense, 10° ≤ 2θ ≤ 90°, in order of falling intensity)
2theta, I_rel
14.58, 100
32.81, 55
25.19, 53
25.40, 49
36.07, 49
27.42, 44
17.81, 34
44.63, 26
49.32, 23
52.16, 22

# ZrRh3S
Simulated powder diffraction line list, copper Kα. Input: a structure optimized by DFT (PBE).

Crystal structure
```
data_ZrRh3S
_chemical_formula_sum 'Zr1 Rh3 S1'
_cell_length_a 4.4116
_cell_length_b 4.4116
_cell_length_c 4.4116
_cell_angle_alpha 90.00
_cell_angle_beta 90.00
_cell_angle_gamma 90.00
_symmetry_space_group_name_H-M 'P 1'
_symmetry_Int_Tables_number 1
_symmetry_space_group_name_Hall 'P 1'
loop_
_atom_site_label
_atom_site_type_symbol
_atom_site_fract_x
_atom_site_fract_y
_atom_site_fract_z
Zr1 Zr 0.0000 0.0000 0.0000
Rh1 Rh 0.0000 0.5000 0.5000
Rh2 Rh 0.5000 0.0000 0.5000
Rh3 Rh 0.5000 0.5000 0.0000
S1 S 0.5000 0.5000 0.5000
```

Peak list (10 most intense, 10° ≤ 2θ ≤ 90°, in order of falling intensity)
2theta, I_rel
35.24, 100
40.91, 68
59.24, 44
70.84, 38
74.51, 15
88.69, 7
20.13, 5
46.00, 2
63.24, 1
28.62, 1

Number 3 is which compound?
ZrRh3S